This entry pairs a crystal structure of LaAlAs2 with its simulated powder diffractogram. Radiation: Cu Kα. Structure: a crystal structure in Alexandria, relaxed with GGA-PBE.

Main lines, low angle first (2θ from 15° to 90°):
| d (Å) | Rel. int. |
| --- | --- |
| 3.098 | 100 |
| 2.975 | 53 |
| 2.544 | 46 |
| 2.293 | 20 |
| 1.966 | 43 |
| 1.716 | 33 |

Cell and atoms:
```
data_LaAlAs2
_chemical_formula_sum 'La2 Al2 As4'
_symmetry_space_group_name_H-M 'P 1'
_symmetry_Int_Tables_number 1
_cell_length_a 6.414
_cell_length_b 6.414
_cell_length_c 6.414
_cell_angle_alpha 111.75
_cell_angle_beta 111.75
_cell_angle_gamma 105.00
loop_
_symmetry_equiv_pos_as_xyz
'x,y,z'
loop_
_atom_site_label
_atom_site_type_symbol
_atom_site_fract_x
_atom_site_fract_y
_atom_site_fract_z
La1 La 0.000 0.000 0.000
La2 La 0.750 0.250 0.500
Al1 Al 0.250 0.750 0.500
Al2 Al 0.500 0.500 0.000
As1 As 0.186 0.125 0.561
As2 As 0.375 0.814 0.939
As3 As 0.564 0.625 0.439
As4 As 0.875 0.436 0.061
```

=====

This entry pairs a crystal structure of Th3Ni3Sb4 with its simulated powder diffractogram. Radiation: Cu Kα. Structure: a crystal structure in Alexandria, relaxed with GGA-PBE.

Main lines, low angle first (2θ from 15° to 90°):
| d (Å) | Rel. int. |
| --- | --- |
| 3.047 | 66 |
| 2.575 | 100 |
| 2.155 | 44 |
| 2.054 | 16 |
| 1.563 | 26 |
| 1.311 | 19 |

Cell and atoms:
```
data_Th3Ni3Sb4
_chemical_formula_sum 'Th6 Ni6 Sb8'
_symmetry_space_group_name_H-M 'P 1'
_symmetry_Int_Tables_number 1
_cell_length_a 8.345
_cell_length_b 8.345
_cell_length_c 8.345
_cell_angle_alpha 109.47
_cell_angle_beta 109.47
_cell_angle_gamma 109.47
loop_
_symmetry_equiv_pos_as_xyz
'x,y,z'
loop_
_atom_site_label
_atom_site_type_symbol
_atom_site_fract_x
_atom_site_fract_y
_atom_site_fract_z
Th1 Th 0.125 0.750 0.875
Th2 Th 0.250 0.625 0.375
Th3 Th 0.375 0.250 0.625
Th4 Th 0.625 0.375 0.250
Th5 Th 0.750 0.875 0.125
Th6 Th 0.875 0.125 0.750
Ni1 Ni 0.125 0.875 0.250
Ni2 Ni 0.250 0.125 0.875
Ni3 Ni 0.375 0.625 0.750
Ni4 Ni 0.625 0.750 0.375
Ni5 Ni 0.750 0.375 0.625
Ni6 Ni 0.875 0.250 0.125
Sb1 Sb 0.000 0.337 0.500
Sb2 Sb 0.000 0.837 0.500
Sb3 Sb 0.163 0.163 0.163
Sb4 Sb 0.337 0.500 0.000
Sb5 Sb 0.500 0.000 0.337
Sb6 Sb 0.500 0.000 0.837
Sb7 Sb 0.663 0.663 0.663
Sb8 Sb 0.837 0.500 0.000
```